# KFeAs2
Computed powder diffraction line list, Cu Ka. Input: the PBE geometry in the Materials Project.
Intensities are scaled so that the largest is 100.

Largest 6 diffraction maxima, sorted by position, 2θ = 10–90°:
13.87°, I = 41; 23.52°, I = 22; 30.84°, I = 100; 45.82°, I = 25; 54.13°, I = 29; 56.25°, I = 34

Structural model:
```
KFeAs2
1.0
-1.9804 1.9804 6.3830
1.9804 -1.9804 6.3830
1.9804 1.9804 -6.3830
K Fe As
1 1 2
direct
0.0000 0.0000 0.0000 K
0.2500 0.7500 0.5000 Fe
0.3307 0.3307 0.0000 As
0.6693 0.6693 0.0000 As
```